# 1
Simulated PXRD pattern of Pr4Sm2TmTh for CuKα, from the PBE geometry in Alexandria.
Kinematic intensities with the Lorentz-polarization factor, no thermal factor.

Top 10 peaks for 2θ = 10–80°, sorted by position:
d/Å, intensity, hkl
3.053, 63, 2 0 0
2.798, 100, 1 1 2
2.159, 24, 2 2 0
1.836, 7, 0 0 4
1.709, 47, 3 1 2
1.574, 18, 2 0 4
1.527, 8, 4 0 0
1.399, 12, 2 2 4
1.366, 11, 4 2 0
1.340, 10, 3 3 2

Structural model:
abc: 6.1034 6.1102 7.3455
angles: 90.00 90.09 90.00
Space group P2/m (No. 10)
Symmetry-distinct sites (fractional):
Pr  0.0002  0.0000  0.2451 x2
Pr  0.4999  0.5000  0.2457 x2
Sm  0.0000  0.5000  0.5000 x1
Sm  0.5000  0.0000  0.0000 x1
Tm  0.5000  0.0000  0.5000 x1
Th  0.0000  0.5000  0.0000 x1

# 2
Simulated PXRD pattern of K2CeI4 for CuKα, from the PBE geometry in Alexandria.
Kinematic intensities with the Lorentz-polarization factor, no thermal factor.

Top 10 peaks for 2θ = 10–80°, sorted by position:
d/Å, intensity, hkl
8.489, 49, 0 0 1
7.687, 98, 1 0 -1
3.903, 48, 0 1 1
3.821, 100, 1 1 -1
3.286, 88, 1 0 2
3.157, 96, 2 1 -1
2.923, 51, 3 0 -2
2.896, 64, 2 1 -2
2.619, 68, 2 1 1
2.526, 63, 1 1 -3

Structural model:
abc: 9.0973 4.4038 9.2704
angles: 90.00 113.69 90.00
Space group P2/m (No. 10)
Symmetry-distinct sites (fractional):
K  0.0447  0.0000  0.3061 x2
Ce  0.5000  0.5000  0.0000 x1
I  0.2429  0.5000  0.6357 x2
I  0.2743  0.0000  0.0780 x2

# 3
Simulated PXRD pattern of La5Tb2Dy6 for CuKα, from the PBE geometry in Alexandria.
Kinematic intensities with the Lorentz-polarization factor, no thermal factor.

Top 10 peaks for 2θ = 10–80°, sorted by position:
d/Å, intensity, hkl
3.325, 15, 1 6 0
2.903, 58, 4 1 0
2.884, 100, 1 7 0
2.822, 86, 2 3 1
2.655, 42, 2 4 1
2.594, 19, 3 6 0
2.484, 42, 3 3 1
1.818, 20, 0 0 2
1.541, 22, 4 1 2
1.537, 16, 1 7 2

Structural model:
abc: 11.7285 20.8031 3.6357
angles: 90.00 90.00 90.00
Space group Pbam (No. 55)
Symmetry-distinct sites (fractional):
La  0.0000  0.0000  0.0000 x2
La  0.0791  0.2717  0.0000 x4
La  0.1997  0.5482  0.0000 x4
Tb  0.1737  0.7103  0.5000 x4
Dy  0.0619  0.4184  0.5000 x4
Dy  0.0800  0.1311  0.5000 x4
Dy  0.1763  0.8603  0.0000 x4

# 4
Simulated PXRD pattern of Na8Hg3O for CuKα, from the PBE geometry in Alexandria.
Kinematic intensities with the Lorentz-polarization factor, no thermal factor.

Top 10 peaks for 2θ = 10–80°, sorted by position:
d/Å, intensity, hkl
8.077, 36, 1 0 0
4.367, 42, 0 0 2
3.666, 100, 2 0 1
2.965, 37, 2 0 2
2.882, 46, 2 1 1
2.573, 23, 3 0 1
2.362, 39, 2 0 3
2.332, 24, 2 2 0
2.057, 24, 2 2 2
1.706, 20, 3 2 2

Structural model:
abc: 9.3265 9.3265 8.7340
angles: 90.00 90.00 120.00
Space group P6_3mc (No. 186)
Symmetry-distinct sites (fractional):
Na  0.0000  0.0000  0.1403 x2
Na  0.0995  0.5498  0.2084 x6
Na  0.2142  0.4284  0.5000 x6
Na  0.3333  0.6667  0.8542 x2
Hg  0.1448  0.2897  0.8849 x6
O  0.3333  0.6667  0.3553 x2

# 5
Simulated PXRD pattern of RbMgTl2 for CuKα, from the PBE geometry in Alexandria.
Kinematic intensities with the Lorentz-polarization factor, no thermal factor.

Top 10 peaks for 2θ = 10–80°, sorted by position:
d/Å, intensity, hkl
6.846, 54, 0 0 1
4.272, 32, 2 0 -1
4.019, 59, 2 0 0
3.327, 73, 1 1 1
2.992, 100, 2 0 1
2.521, 85, 0 2 0
2.436, 33, 1 1 2
1.928, 29, 2 2 1
1.692, 27, 3 1 2
1.532, 28, 5 1 0

Structural model:
abc: 8.7311 5.0449 7.4415
angles: 90.00 113.07 90.00
Space group C2/m (No. 12)
Symmetry-distinct sites (fractional):
Rb  0.0000  0.0000  0.0000 x2
Mg  0.0000  0.5000  0.5000 x2
Tl  0.2101  0.0000  0.6303 x4

# 6
Simulated PXRD pattern of LiSnPt3 for CuKα, from the PBE geometry in Alexandria.
Kinematic intensities with the Lorentz-polarization factor, no thermal factor.

Top 10 peaks for 2θ = 10–80°, sorted by position:
d/Å, intensity, hkl
3.191, 26, 1 1 0
2.351, 21, 0 2 0
2.268, 29, 2 0 -1
2.214, 100, 1 1 2
2.068, 16, 1 2 -1
1.632, 14, 2 2 -1
1.507, 8, 0 0 5
1.330, 12, 1 3 2
1.300, 9, 3 1 1
1.297, 9, 3 1 -4

Structural model:
abc: 4.5358 4.7024 7.8611
angles: 90.00 106.60 90.00
Space group P2_1 (No. 4)
Symmetry-distinct sites (fractional):
Li  0.1444  0.0000  0.2856 x2
Sn  0.3540  0.9266  0.7036 x2
Pt  0.0517  0.5360  0.1049 x2
Pt  0.2482  0.4483  0.5028 x2
Pt  0.4432  0.4122  0.8905 x2

Copy entry 3 word for word.
Simulated PXRD pattern of La5Tb2Dy6 for CuKα, from the PBE geometry in Alexandria.
Kinematic intensities with the Lorentz-polarization factor, no thermal factor.

Top 10 peaks for 2θ = 10–80°, sorted by position:
d/Å, intensity, hkl
3.325, 15, 1 6 0
2.903, 58, 4 1 0
2.884, 100, 1 7 0
2.822, 86, 2 3 1
2.655, 42, 2 4 1
2.594, 19, 3 6 0
2.484, 42, 3 3 1
1.818, 20, 0 0 2
1.541, 22, 4 1 2
1.537, 16, 1 7 2

Structural model:
abc: 11.7285 20.8031 3.6357
angles: 90.00 90.00 90.00
Space group Pbam (No. 55)
Symmetry-distinct sites (fractional):
La  0.0000  0.0000  0.0000 x2
La  0.0791  0.2717  0.0000 x4
La  0.1997  0.5482  0.0000 x4
Tb  0.1737  0.7103  0.5000 x4
Dy  0.0619  0.4184  0.5000 x4
Dy  0.0800  0.1311  0.5000 x4
Dy  0.1763  0.8603  0.0000 x4